Entry 1:
Computed powder X-ray diffraction pattern of Na2PrTcN4 for Cu Kα, from a structure optimized by DFT (GGA-PBE).
Peak positions follow from Bragg's law for the DFT cell and can differ from measured ones.

Peak list (10 most intense, 10° ≤ 2θ ≤ 90°, sorted by position)
20.4°, rel. 100; 29.0°, rel. 66; 34.7°, rel. 97; 40.6°, rel. 33; 41.5°, rel. 33; 46.6°, rel. 15; 50.6°, rel. 15; 55.2°, rel. 57; 65.6°, rel. 16; 68.1°, rel. 14

Structure:
```
data_Na2PrTcN4
_cell_length_a 6.159
_cell_length_b 6.159
_cell_length_c 6.424
_cell_angle_alpha 90.00
_cell_angle_beta 90.00
_cell_angle_gamma 90.00
_symmetry_space_group_name_H-M 'I -4 2 m'
_symmetry_Int_Tables_number 121
_symmetry_space_group_name_Hall 'I -4 2'
loop_
_atom_site_label
_atom_site_type_symbol
_atom_site_fract_x
_atom_site_fract_y
_atom_site_fract_z
Na1 Na 0.000 0.500 0.250
Pr1 Pr 0.000 0.000 0.000
Tc1 Tc 0.000 0.000 0.500
N1 N 0.166 0.166 0.674
```



Entry 2:
Computed powder X-ray diffraction pattern of Ni7Pt5 for Cu Kα, from a structure optimized by DFT (GGA-PBE).
Peak positions follow from Bragg's law for the DFT cell and can differ from measured ones.

Peak list (10 most intense, 10° ≤ 2θ ≤ 90°, sorted by position)
20.7°, rel. 21; 23.6°, rel. 23; 41.6°, rel. 54; 41.7°, rel. 100; 42.2°, rel. 50; 48.2°, rel. 34; 48.8°, rel. 63; 70.7°, rel. 21; 71.5°, rel. 20; 86.2°, rel. 18

Structure:
```
data_Ni7Pt5
_cell_length_a 4.569
_cell_length_b 7.935
_cell_length_c 4.631
_cell_angle_alpha 90.00
_cell_angle_beta 110.23
_cell_angle_gamma 90.00
_symmetry_space_group_name_H-M 'P 1 2 1'
_symmetry_Int_Tables_number 3
loop_
_symmetry_equiv_pos_as_xyz
'x,y,z'
'-x,y,-z'
loop_
_atom_site_label
_atom_site_type_symbol
_atom_site_fract_x
_atom_site_fract_y
_atom_site_fract_z
Ni1 Ni 0.000 0.000 0.000
Ni2 Ni 0.000 0.162 0.500
Ni3 Ni 0.000 0.332 0.000
Ni4 Ni 0.000 0.660 0.000
Ni5 Ni 0.000 0.830 0.500
Ni6 Ni 0.500 0.330 0.500
Ni7 Ni 0.500 0.497 0.000
Pt1 Pt 0.000 0.485 0.500
Pt2 Pt 0.500 0.003 0.500
Pt3 Pt 0.500 0.178 0.000
Pt4 Pt 0.500 0.657 0.500
Pt5 Pt 0.500 0.828 0.000
```



Entry 3:
Computed powder X-ray diffraction pattern of Ru5C7 for Cu Kα, from a structure optimized by DFT (GGA-PBE).
Peak positions follow from Bragg's law for the DFT cell and can differ from measured ones.

Peak list (10 most intense, 10° ≤ 2θ ≤ 90°, sorted by position)
18.4°, rel. 31; 26.1°, rel. 39; 34.2°, rel. 70; 34.8°, rel. 52; 37.3°, rel. 57; 43.5°, rel. 100; 44.1°, rel. 45; 52.0°, rel. 41; 71.6°, rel. 22; 77.6°, rel. 32

Structure:
```
data_Ru5C7
_cell_length_a 6.819
_cell_length_b 6.819
_cell_length_c 5.150
_cell_angle_alpha 90.00
_cell_angle_beta 90.00
_cell_angle_gamma 90.00
_symmetry_space_group_name_H-M 'I 4 m m'
_symmetry_Int_Tables_number 107
_symmetry_space_group_name_Hall 'I 4 -2'
loop_
_atom_site_label
_atom_site_type_symbol
_atom_site_fract_x
_atom_site_fract_y
_atom_site_fract_z
Ru1 Ru 0.000 0.000 0.000
Ru2 Ru 0.201 0.201 0.436
C1 C 0.000 0.000 0.604
C2 C 0.000 0.305 0.128
C3 C 0.000 0.500 0.087
```